The following is a calculated XRD peak list of Tb2Nd8Zn. It was derived from a structure optimized by DFT (PBE), using a wavelength of 1.5418 Å.

Largest 10 diffraction maxima, by intensity, 10 to 90 degrees two-theta:
two_theta, Rel. int., index
31.61, 100, 5 1 1
31.42, 33, 0 2 0
56.05, 20, 5 3 1
30.15, 19, 6 0 -1
30.48, 16, 5 1 -1
44.10, 13, 6 2 -1
57.20, 9, 4 2 3
46.51, 8, 4 0 3
76.81, 7, 9 1 4
66.01, 6, 10 2 2

Crystal structure
Lattice parameters (Å, degrees): 19.433 5.696 6.562 90.00 93.10 90.00
Space group C2/m (No. 12)
Symmetry-distinct sites (fractional):
Tb 0.237 0.000 0.334 (multiplicity 4)
Nd 0.040 0.000 0.251 (multiplicity 4)
Nd 0.080 0.500 0.607 (multiplicity 4)
Nd 0.156 0.500 0.120 (multiplicity 4)
Nd 0.157 0.000 0.808 (multiplicity 4)
Zn 0.000 0.500 0.000 (multiplicity 2)